# LiFeF3
Theoretical powder XRD pattern, a wavelength of 1.5418 Å. Input: a GGA+U-relaxed structure.

Atomic structure:
```
LiFeF3
1.0
2.5874 1.4939 4.8559
-2.5874 1.4939 4.8559
0.0000 -2.9877 4.8559
Li Fe F
2 2 6
Direct
0.1447 0.1447 0.1447
0.8553 0.8553 0.8553
0.3460 0.3460 0.3460
0.6540 0.6540 0.6540
0.0584 0.7561 0.4353
0.2439 0.5647 0.9416
0.4353 0.0584 0.7561
0.5647 0.9416 0.2439
0.7561 0.4353 0.0584
0.9416 0.2439 0.5647
```

Largest 12 diffraction maxima, by intensity, 2θ from 15° to 90°:
2θ (°)	d_spacing	I (rel.)
39.5	2.283	1000
18.3	4.856	666
51.6	1.771	568
20.7	4.283	455
31.7	2.826	342
23.3	3.817	301
62.1	1.494	287
47.7	1.908	173
34.7	2.587	172
60.3	1.536	134
68.4	1.372	119
48.2	1.888	118

---

# LiFe2F5
Theoretical powder XRD pattern, a wavelength of 1.5418 Å. Input: a GGA+U-relaxed structure.

Atomic structure:
```
LiFe2F5
1.0
8.9442 0.0000 0.0000
0.0000 6.9121 0.0000
-0.6309 0.0000 6.3122
Li Fe F
4 8 20
Direct
0.1971 0.1107 0.0004
0.1971 0.3893 0.5004
0.8029 0.6107 0.4996
0.8029 0.8893 0.9996
0.1447 0.6353 0.0176
0.1447 0.8647 0.5176
0.4728 0.6387 0.7658
0.4728 0.8613 0.2658
0.5272 0.1387 0.7342
0.5272 0.3613 0.2342
0.8553 0.1353 0.4824
0.8553 0.3647 0.9824
0.0918 0.1607 0.5174
0.0918 0.3393 0.0174
0.1342 0.6083 0.3355
0.1342 0.8917 0.8355
0.2500 0.5686 0.7308
0.2500 0.9314 0.2308
0.3921 0.5906 0.1168
0.3921 0.9094 0.6168
0.4150 0.1708 0.0170
0.4150 0.3292 0.5170
0.5850 0.6708 0.4830
0.5850 0.8292 0.9830
0.6079 0.0906 0.3832
0.6079 0.4094 0.8832
0.7500 0.0686 0.7692
0.7500 0.4314 0.2692
0.8658 0.1083 0.1645
0.8658 0.3917 0.6645
0.9082 0.6607 0.9826
0.9082 0.8393 0.4826
```

Largest 12 diffraction maxima, by intensity, 2θ from 15° to 90°:
2θ (°)	d_spacing	I (rel.)
31.6	2.829	1000
16.2	5.459	940
30.1	2.967	690
29.1	3.072	557
19.0	4.661	540
52.1	1.754	456
45.2	2.005	352
51.0	1.791	282
58.5	1.578	263
53.0	1.728	248
35.6	2.518	219
50.8	1.797	217

---

# LiFeF3
Theoretical powder XRD pattern, a wavelength of 1.5418 Å. Input: a GGA+U-relaxed structure.

Atomic structure:
```
LiFeF3
1.0
8.8115 0.0000 0.0000
0.0000 8.8115 0.0000
0.0000 0.0000 6.2034
Li Fe F
8 8 24
Direct
0.0000 0.0000 0.0000
0.0000 0.5000 0.5000
0.2500 0.2500 0.2500
0.2500 0.2500 0.7500
0.5000 0.0000 0.5000
0.5000 0.5000 0.0000
0.7500 0.7500 0.2500
0.7500 0.7500 0.7500
0.0857 0.6591 0.0338
0.1591 0.9143 0.5338
0.3409 0.5857 0.5338
0.4143 0.8409 0.0338
0.5857 0.1591 0.9662
0.6591 0.4143 0.4662
0.8409 0.0857 0.4662
0.9143 0.3409 0.9662
0.0548 0.0645 0.3176
0.0645 0.4452 0.1824
0.0874 0.2006 0.9213
0.1170 0.6960 0.4533
0.1960 0.8830 0.9533
0.2006 0.4126 0.5787
0.2994 0.0874 0.5787
0.3040 0.6170 0.9533
0.3830 0.8040 0.4533
0.4126 0.2994 0.9213
0.4355 0.0548 0.1824
0.4452 0.4355 0.3176
0.5548 0.5645 0.6824
0.5645 0.9452 0.8176
0.5874 0.7006 0.0787
0.6170 0.1960 0.5467
0.6960 0.3830 0.0467
0.7006 0.9126 0.4213
0.7994 0.5874 0.4213
0.8040 0.1170 0.0467
0.8830 0.3040 0.5467
0.9126 0.7994 0.0787
0.9355 0.5548 0.8176
0.9452 0.9355 0.6824
```

Largest 12 diffraction maxima, by intensity, 2θ from 15° to 90°:
2θ (°)	d_spacing	I (rel.)
32.1	2.785	1000
20.2	4.396	679
28.8	3.102	652
24.8	3.592	651
46.1	1.970	641
55.2	1.664	628
32.2	2.777	435
43.7	2.073	416
61.4	1.511	314
41.0	2.201	259
49.8	1.831	205
33.8	2.655	200

---

# LiFeF3
Theoretical powder XRD pattern, a wavelength of 1.5418 Å. Input: a GGA+U-relaxed structure.

Atomic structure:
```
LiFeF3
1.0
7.0210 0.0000 0.0000
-0.0119 7.2366 0.0000
-1.7632 -0.6135 7.6505
Li Fe F
6 6 18
Direct
0.0738 0.2451 0.3365
0.2661 0.4536 0.0820
0.4065 0.7584 0.6693
0.5935 0.2416 0.3307
0.7339 0.5464 0.9180
0.9262 0.7549 0.6635
0.0753 0.7456 0.2736
0.2389 0.9601 0.9626
0.4372 0.2604 0.7359
0.5628 0.7396 0.2641
0.7611 0.0399 0.0374
0.9247 0.2544 0.7264
0.0940 0.0069 0.1766
0.0999 0.4705 0.2434
0.1496 0.2302 0.5791
0.1809 0.8116 0.7304
0.2219 0.2483 0.9168
0.2683 0.7090 0.0769
0.3658 0.7782 0.4295
0.4804 0.5354 0.7690
0.4988 0.9958 0.8251
0.5012 0.0042 0.1749
0.5196 0.4646 0.2310
0.6342 0.2218 0.5705
0.7317 0.2910 0.9231
0.7781 0.7517 0.0832
0.8191 0.1884 0.2696
0.8504 0.7698 0.4209
0.9001 0.5295 0.7566
0.9060 0.9931 0.8234
```

Largest 12 diffraction maxima, by intensity, 2θ from 15° to 90°:
2θ (°)	d_spacing	I (rel.)
17.6	5.051	1000
30.9	2.892	538
39.0	2.307	343
38.3	2.348	289
23.3	3.825	189
52.1	1.755	182
53.4	1.717	180
26.5	3.368	166
50.6	1.803	152
61.0	1.519	151
41.8	2.162	144
16.2	5.471	138

---

# LiFe2F6
Theoretical powder XRD pattern, a wavelength of 1.5418 Å. Input: a GGA+U-relaxed structure.

Atomic structure:
```
LiFe2F6
1.0
4.7562 0.0000 0.0000
0.0000 4.7562 0.0000
0.0000 0.0000 9.4168
Li Fe F
2 4 12
Direct
0.0000 0.0000 0.0000
0.5000 0.5000 0.5000
0.0000 0.0000 0.3357
0.0000 0.0000 0.6693
0.5000 0.5000 0.1693
0.5000 0.5000 0.8357
0.1937 0.1937 0.1767
0.1953 0.1953 0.4908
0.2092 0.2092 0.8371
0.2908 0.7092 0.3371
0.3047 0.6953 0.9908
0.3063 0.6937 0.6767
0.6937 0.3063 0.6767
0.6953 0.3047 0.9908
0.7092 0.2908 0.3371
0.7908 0.7908 0.8371
0.8047 0.8047 0.4908
0.8063 0.8063 0.1767
```

Largest 12 diffraction maxima, by intensity, 2θ from 15° to 90°:
2θ (°)	d_spacing	I (rel.)
26.5	3.363	1000
51.9	1.761	691
20.9	4.245	617
34.2	2.620	408
39.3	2.295	395
66.0	1.415	289
54.6	1.682	242
18.8	4.708	211
42.5	2.125	194
32.7	2.737	178
43.6	2.075	149
58.8	1.569	127

---

# Li2FeF5
Theoretical powder XRD pattern, a wavelength of 1.5418 Å. Input: a GGA+U-relaxed structure.

Atomic structure:
```
Li2FeF5
1.0
5.1211 0.0000 0.0000
0.0000 8.1265 0.0000
0.0000 0.0000 9.8149
Li Fe F
8 4 20
Direct
0.0257 0.1377 0.4334
0.0547 0.6154 0.7355
0.4453 0.3846 0.2355
0.4743 0.8623 0.9334
0.5257 0.3623 0.5666
0.5547 0.8846 0.2645
0.9453 0.1154 0.7645
0.9743 0.6377 0.0666
0.0419 0.0341 0.1179
0.4581 0.9659 0.6179
0.5419 0.4659 0.8821
0.9581 0.5341 0.3821
0.1344 0.5224 0.2097
0.1382 0.0925 0.9379
0.2131 0.8293 0.7093
0.2285 0.5771 0.9361
0.2424 0.8376 0.1193
0.2576 0.1624 0.6193
0.2715 0.4229 0.4361
0.2869 0.1707 0.2093
0.3618 0.9075 0.4379
0.3656 0.4776 0.7097
0.6344 0.9776 0.7903
0.6382 0.4075 0.0621
0.7131 0.6707 0.2907
0.7285 0.9229 0.0639
0.7424 0.6624 0.8807
0.7576 0.3376 0.3807
0.7715 0.0771 0.5639
0.7869 0.3293 0.7907
0.8618 0.5925 0.5621
0.8656 0.0224 0.2903
```

Largest 12 diffraction maxima, by intensity, 2θ from 15° to 90°:
2θ (°)	d_spacing	I (rel.)
21.1	4.201	1000
22.4	3.964	878
21.9	4.063	656
29.5	3.028	633
19.6	4.540	491
28.0	3.183	288
50.5	1.806	230
52.6	1.740	214
49.1	1.854	187
34.3	2.611	173
51.1	1.788	172
40.8	2.213	154

---

# Li5FeF8
Theoretical powder XRD pattern, a wavelength of 1.5418 Å. Input: a GGA+U-relaxed structure.

Atomic structure:
```
Li5FeF8
1.0
2.9328 -4.2034 0.0000
2.9328 4.2034 0.0000
0.0000 0.0000 6.0060
Li Fe F
5 1 8
Direct
0.0000 0.0000 0.0000
0.0000 0.5000 0.2249
0.0000 0.5000 0.7751
0.5000 0.0000 0.2249
0.5000 0.0000 0.7751
0.0000 0.0000 0.5000
0.2240 0.2240 0.2608
0.2240 0.2240 0.7392
0.2327 0.7673 0.5000
0.2336 0.7664 0.0000
0.7664 0.2336 0.0000
0.7673 0.2327 0.5000
0.7760 0.7760 0.2608
0.7760 0.7760 0.7392
```

Largest 12 diffraction maxima, by intensity, 2θ from 15° to 90°:
2θ (°)	d_spacing	I (rel.)
43.1	2.099	1000
18.4	4.810	908
23.7	3.755	395
62.6	1.485	335
25.9	3.444	206
35.2	2.547	162
57.3	1.608	110
38.6	2.330	102
36.8	2.443	101
61.8	1.501	92
21.1	4.203	87
37.4	2.405	83